Record 1
Calculated X-ray diffraction stick pattern
Compound: MnAs3Pb3O9
Radiation: λ = 1.5418 Å (Cu Kα)
Structure: DFT lattice parameters and positions (PBE+U)
No peak broadening, texture or thermal motion is included.

Principal peaks in the range 2θ = 10–80°, low angle first:
d_spacing, I/Imax, hkl
4.960, 44, 1 1 -1
3.565, 29, 1 1 -3
3.203, 100, 2 0 0
3.170, 43, 2 1 -1
3.051, 39, 1 2 -1
3.032, 25, 1 1 2
2.934, 70, 2 0 -4
2.910, 27, 1 2 -2
2.857, 26, 0 2 2
2.710, 25, 1 2 1

Cell lengths 7.408, 6.701, 12.671 Å; angles 90.00, 120.22, 90.00 degrees
Space group Pc (No. 7)
Symmetry-distinct sites (fractional):
Mn (0.000, 0.014, 0.000) (multiplicity 2)
As (0.048, 0.207, 0.265) (multiplicity 2)
As (0.166, 0.478, 0.055) (multiplicity 2)
As (0.476, 0.116, 0.742) (multiplicity 2)
Pb (0.532, 0.141, 0.038) (multiplicity 2)
Pb (0.653, 0.370, 0.352) (multiplicity 2)
Pb (0.966, 0.291, 0.752) (multiplicity 2)
O (0.082, 0.011, 0.374) (multiplicity 2)
O (0.284, 0.470, 0.967) (multiplicity 2)
O (0.332, 0.084, 0.139) (multiplicity 2)
O (0.631, 0.164, 0.674) (multiplicity 2)
O (0.653, 0.031, 0.376) (multiplicity 2)
O (0.794, 0.317, 0.224) (multiplicity 2)
O (0.941, 0.035, 0.135) (multiplicity 2)
O (0.947, 0.308, 0.958) (multiplicity 2)
O (0.991, 0.291, 0.507) (multiplicity 2)


Record 2
Calculated X-ray diffraction stick pattern
Compound: BaMnCO3F2
Radiation: λ = 1.5418 Å (Cu Kα)
Structure: DFT lattice parameters and positions (PBE+U)
No peak broadening, texture or thermal motion is included.

Principal peaks in the range 2θ = 10–80°, low angle first:
d_spacing, I/Imax, hkl
4.311, 25, 1 0 0
3.286, 100, 1 0 2
2.538, 26, 0 0 4
2.489, 52, 1 1 0
2.235, 20, 1 1 2
2.187, 12, 1 0 4
1.984, 29, 2 0 2
1.777, 29, 1 1 4
1.575, 14, 1 0 6
1.552, 18, 2 1 2

Cell lengths 4.9784, 4.9784, 10.1502 Å; angles 90.00, 90.00, 120.00 degrees
Space group P6_3/m (No. 176)
Symmetry-distinct sites (fractional):
Ba (0.0000, 0.0000, 0.0000) (multiplicity 2)
Mn (0.3333, 0.6667, 0.2500) (multiplicity 2)
C (0.3333, 0.6667, 0.7500) (multiplicity 2)
O (0.1268, 0.3741, 0.7500) (multiplicity 6)
F (0.3333, 0.6667, 0.0451) (multiplicity 4)


Record 3
Calculated X-ray diffraction stick pattern
Compound: Rb4MgV4O10
Radiation: λ = 1.5418 Å (Cu Kα)
Structure: DFT lattice parameters and positions (PBE+U)
No peak broadening, texture or thermal motion is included.

Principal peaks in the range 2θ = 10–80°, low angle first:
d_spacing, I/Imax, hkl
3.078, 54, -1 1 2
3.050, 100, 0 2 -1
3.017, 82, 1 -1 2
3.005, 88, 1 1 -3
2.902, 94, 2 0 -1
2.535, 24, 0 2 1
2.115, 50, 2 -2 0
2.088, 45, 2 2 -2
1.873, 18, 0 1 4
1.699, 17, 3 1 0

Cell lengths 5.804, 6.101, 9.672 Å; angles 106.78, 107.35, 90.77 degrees
Space group P1 (No. 1)
Symmetry-distinct sites (fractional):
Rb (0.000, 0.000, 0.000) (multiplicity 1)
Rb (0.223, 0.306, 0.455) (multiplicity 1)
Rb (0.540, 0.497, 0.108) (multiplicity 1)
Rb (0.775, 0.801, 0.556) (multiplicity 1)
Mg (0.394, 0.401, 0.781) (multiplicity 1)
V (0.159, 0.753, 0.331) (multiplicity 1)
V (0.388, 0.898, 0.773) (multiplicity 1)
V (0.612, 0.053, 0.227) (multiplicity 1)
V (0.892, 0.400, 0.778) (multiplicity 1)
O (0.131, 0.188, 0.782) (multiplicity 1)
O (0.131, 0.473, 0.216) (multiplicity 1)
O (0.158, 0.631, 0.775) (multiplicity 1)
O (0.269, 0.804, 0.541) (multiplicity 1)
O (0.370, 0.912, 0.273) (multiplicity 1)
O (0.512, 0.002, 0.022) (multiplicity 1)
O (0.629, 0.171, 0.786) (multiplicity 1)
O (0.652, 0.611, 0.772) (multiplicity 1)
O (0.696, 0.327, 0.350) (multiplicity 1)
O (0.876, 0.886, 0.287) (multiplicity 1)


Record 4
Calculated X-ray diffraction stick pattern
Compound: FeSO8
Radiation: λ = 1.5418 Å (Cu Kα)
Structure: DFT lattice parameters and positions (PBE+U)
No peak broadening, texture or thermal motion is included.

Principal peaks in the range 2θ = 10–80°, low angle first:
d_spacing, I/Imax, hkl
6.969, 21, 0 2 0
5.925, 100, 1 1 -1
5.648, 55, 1 0 0
5.234, 18, 1 1 0
4.771, 79, 1 2 -1
4.279, 36, 0 0 2
3.732, 19, 1 1 1
3.484, 26, 0 4 0
3.255, 26, 1 1 -3
2.932, 46, 2 2 -1

Cell lengths 6.629, 13.938, 10.044 Å; angles 90.00, 121.57, 90.00 degrees
Space group P2_1/c (No. 14)
Symmetry-distinct sites (fractional):
Fe (0.247, 0.095, 0.291) (multiplicity 4)
S (0.472, 0.607, 0.826) (multiplicity 4)
O (0.140, 0.209, 0.268) (multiplicity 4)
O (0.251, 0.126, 0.128) (multiplicity 4)
O (0.256, 0.545, 0.767) (multiplicity 4)
O (0.291, 0.582, 0.417) (multiplicity 4)
O (0.348, 0.074, 0.511) (multiplicity 4)
O (0.402, 0.079, 0.759) (multiplicity 4)
O (0.409, 0.707, 0.811) (multiplicity 4)
O (0.415, 0.639, 0.518) (multiplicity 4)


What did the third record say?
Calculated X-ray diffraction stick pattern
Compound: Rb4MgV4O10
Radiation: λ = 1.5418 Å (Cu Kα)
Structure: DFT lattice parameters and positions (PBE+U)
No peak broadening, texture or thermal motion is included.

Principal peaks in the range 2θ = 10–80°, low angle first:
d_spacing, I/Imax, hkl
3.078, 54, -1 1 2
3.050, 100, 0 2 -1
3.017, 82, 1 -1 2
3.005, 88, 1 1 -3
2.902, 94, 2 0 -1
2.535, 24, 0 2 1
2.115, 50, 2 -2 0
2.088, 45, 2 2 -2
1.873, 18, 0 1 4
1.699, 17, 3 1 0

Cell lengths 5.804, 6.101, 9.672 Å; angles 106.78, 107.35, 90.77 degrees
Space group P1 (No. 1)
Symmetry-distinct sites (fractional):
Rb (0.000, 0.000, 0.000) (multiplicity 1)
Rb (0.223, 0.306, 0.455) (multiplicity 1)
Rb (0.540, 0.497, 0.108) (multiplicity 1)
Rb (0.775, 0.801, 0.556) (multiplicity 1)
Mg (0.394, 0.401, 0.781) (multiplicity 1)
V (0.159, 0.753, 0.331) (multiplicity 1)
V (0.388, 0.898, 0.773) (multiplicity 1)
V (0.612, 0.053, 0.227) (multiplicity 1)
V (0.892, 0.400, 0.778) (multiplicity 1)
O (0.131, 0.188, 0.782) (multiplicity 1)
O (0.131, 0.473, 0.216) (multiplicity 1)
O (0.158, 0.631, 0.775) (multiplicity 1)
O (0.269, 0.804, 0.541) (multiplicity 1)
O (0.370, 0.912, 0.273) (multiplicity 1)
O (0.512, 0.002, 0.022) (multiplicity 1)
O (0.629, 0.171, 0.786) (multiplicity 1)
O (0.652, 0.611, 0.772) (multiplicity 1)
O (0.696, 0.327, 0.350) (multiplicity 1)
O (0.876, 0.886, 0.287) (multiplicity 1)